# 1
The following is a simulated PXRD pattern of AcPr2Sm3. It was derived from DFT lattice parameters and positions (PBE), using Cu Kα (weighted mean of Kα1 and Kα2).

Structural model:
```
data_AcPr2Sm3
_cell_length_a 7.1220
_cell_length_b 7.1220
_cell_length_c 10.0791
_cell_angle_alpha 90.00
_cell_angle_beta 90.00
_cell_angle_gamma 120.00
_space_group_name_H-M_alt 'P -3 m 1'
_space_group_IT_number 164
_space_group_name_Hall '-P 3 2"'
loop_
_atom_site_label
_atom_site_fract_x
_atom_site_fract_y
_atom_site_fract_z
Ac1 0.3333 0.6667 0.4331
Pr1 0.0000 0.0000 0.0000
Pr2 0.0000 0.0000 0.5000
Pr3 0.3333 0.6667 0.0794
Sm1 0.1826 0.3652 0.7643
```

Peak list (8 most intense, 2θ = 10–90°, in order of rising 2θ)
| Position (°2θ) | d/Å | intensity | h k l |
| --- | --- | --- | --- |
| 25.01 | 3.561 | 23 | 1 1 0 |
| 30.30 | 2.950 | 100 | 2 0 1 |
| 30.74 | 2.908 | 51 | 1 1 2 |
| 47.47 | 1.915 | 17 | 2 1 3 |
| 47.78 | 1.904 | 17 | 0 3 2 |
| 51.31 | 1.781 | 20 | 2 2 0 |
| 54.37 | 1.687 | 14 | 0 2 5 |
| 60.76 | 1.524 | 19 | 0 4 1 |

=====

# 2
The following is a simulated PXRD pattern of AcPr4Sm2. It was derived from DFT lattice parameters and positions (PBE), using Cu Kα (weighted mean of Kα1 and Kα2).

Structural model:
```
data_AcPr4Sm2
_cell_length_a 5.8904
_cell_length_b 5.8904
_cell_length_c 25.6227
_cell_angle_alpha 90.00
_cell_angle_beta 90.00
_cell_angle_gamma 120.00
_space_group_name_H-M_alt 'R -3 m'
_space_group_IT_number 166
_space_group_name_Hall '-R 3 2"'
loop_
_atom_site_label
_atom_site_fract_x
_atom_site_fract_y
_atom_site_fract_z
Ac1 0.0000 0.0000 0.0000
Pr1 0.0000 0.0000 0.2692
Pr2 0.0000 0.0000 0.4209
Sm1 0.0000 0.0000 0.1380
```

Peak list (8 most intense, 2θ = 10–90°, in order of rising 2θ)
| Position (°2θ) | d/Å | intensity | h k l |
| --- | --- | --- | --- |
| 30.05 | 2.974 | 86 | 1 0 7 |
| 30.35 | 2.945 | 100 | 1 1 0 |
| 43.23 | 2.093 | 32 | 0 2 7 |
| 53.73 | 1.706 | 36 | 2 1 7 |
| 53.92 | 1.700 | 20 | 3 0 0 |
| 63.14 | 1.473 | 12 | 2 2 0 |
| 71.49 | 1.320 | 14 | 1 3 7 |
| 87.49 | 1.115 | 13 | 3 2 7 |

=====

# 3
The following is a simulated PXRD pattern of Ac4Pr5Sm4. It was derived from DFT lattice parameters and positions (PBE), using Cu Kα (weighted mean of Kα1 and Kα2).

Structural model:
```
data_Ac4Pr5Sm4
_cell_length_a 19.2335
_cell_length_b 5.3505
_cell_length_c 13.5994
_cell_angle_alpha 90.00
_cell_angle_beta 134.94
_cell_angle_gamma 90.00
_space_group_name_H-M_alt 'C 1 2/m 1'
_space_group_IT_number 12
_space_group_name_Hall '-C 2y'
loop_
_atom_site_label
_atom_site_fract_x
_atom_site_fract_y
_atom_site_fract_z
Ac1 0.0811 0.0000 0.2018
Ac2 0.1206 0.5000 0.0394
Pr1 0.0000 0.0000 0.5000
Pr2 0.0427 0.5000 0.3559
Pr3 0.1869 0.5000 0.7296
Sm1 0.1515 0.0000 0.8802
Sm2 0.2288 0.0000 0.5774
```

Peak list (8 most intense, 2θ = 10–90°, in order of rising 2θ)
| Position (°2θ) | d/Å | intensity | h k l |
| --- | --- | --- | --- |
| 28.95 | 3.084 | 100 | 5 1 -2 |
| 33.53 | 2.673 | 34 | 0 2 0 |
| 33.61 | 2.667 | 17 | 6 0 -5 |
| 48.18 | 1.889 | 36 | 4 2 1 |
| 57.16 | 1.612 | 29 | 5 3 -2 |
| 57.27 | 1.609 | 14 | 11 1 -7 |
| 59.99 | 1.542 | 13 | 10 2 -4 |
| 77.93 | 1.226 | 12 | 3 3 4 |

=====

# 4
The following is a simulated PXRD pattern of Ac12PrSm7. It was derived from DFT lattice parameters and positions (PBE), using Cu Kα (weighted mean of Kα1 and Kα2).

Structural model:
```
data_Ac12PrSm7
_cell_length_a 20.8461
_cell_length_b 20.8461
_cell_length_c 6.6701
_cell_angle_alpha 90.00
_cell_angle_beta 90.00
_cell_angle_gamma 120.00
_space_group_name_H-M_alt 'R -3 m'
_space_group_IT_number 166
_space_group_name_Hall '-R 3 2"'
loop_
_atom_site_label
_atom_site_fract_x
_atom_site_fract_y
_atom_site_fract_z
Ac1 0.0000 0.4126 0.0000
Ac2 0.1024 0.5512 0.4852
Pr1 0.0000 0.0000 0.5000
Sm1 0.0000 0.0000 0.0000
Sm2 0.0813 0.1625 0.3112
```

Peak list (8 most intense, 2θ = 10–90°, in order of rising 2θ)
| Position (°2θ) | d/Å | intensity | h k l |
| --- | --- | --- | --- |
| 25.31 | 3.519 | 36 | 3 2 1 |
| 25.64 | 3.474 | 44 | 3 3 0 |
| 28.10 | 3.175 | 100 | 0 5 1 |
| 28.53 | 3.128 | 62 | 2 0 2 |
| 30.66 | 2.916 | 56 | 5 1 1 |
| 30.93 | 2.891 | 48 | 5 2 0 |
| 36.68 | 2.450 | 33 | 5 0 2 |
| 44.40 | 2.040 | 39 | 0 7 2 |